1.
PrGaPt: simulated powder XRD pattern (Cu Ka), based on a structure optimized by DFT (PBE).
Lines closer than 0.1° are merged.

Main lines, by intensity (10 to 90 degrees two-theta):
Position (°2θ)	I (rel.)	(hkl)
33.80	100.0	2 1 1
39.37	48.9	0 1 3
32.45	47.4	1 1 2
39.84	43.1	0 2 0
25.83	31.9	1 1 1
25.59	23.8	1 0 2
39.31	19.6	3 0 1
33.62	19.4	2 0 2
44.15	18.6	3 0 2
64.25	16.7	3 1 4

Atomic structure:
Lattice parameters (Å, degrees): 7.181 4.525 7.958 90.00 90.00 90.00
Space group Pnma (No. 62)
Unique sites:
Pr1 0.028 0.250 0.190 (multiplicity 4)
Ga1 0.157 0.250 0.568 (multiplicity 4)
Pt1 0.220 0.750 0.392 (multiplicity 4)

---

2.
Al2Ru: simulated powder XRD pattern (Cu Ka), based on a structure optimized by DFT (PBE).
Lines closer than 0.1° are merged.

Main lines, by intensity (10 to 90 degrees two-theta):
Position (°2θ)	I (rel.)	(hkl)
39.90	100.0	1 3 1
23.99	93.8	1 1 1
43.32	78.9	2 0 2
49.80	52.0	1 3 3
30.01	48.1	0 2 2
40.83	46.9	0 0 4
37.64	28.8	1 1 3
66.29	21.7	1 3 5
69.88	18.5	3 3 1
44.34	16.3	2 2 0

Atomic structure:
Lattice parameters (Å, degrees): 4.740 8.059 8.840 90.00 90.00 90.00
Space group Fddd (No. 70, origin choice 2)
Unique sites:
Al1 0.125 0.296 0.125 (multiplicity 16)
Ru1 0.125 0.125 0.625 (multiplicity 8)

---

3.
UFeC2: simulated powder XRD pattern (Cu Ka), based on a structure optimized by DFT (PBE).
Lines closer than 0.1° are merged.

Main lines, by intensity (10 to 90 degrees two-theta):
Position (°2θ)	I (rel.)	(hkl)
37.29	100.0	1 1 2
32.25	64.5	2 0 0
21.63	58.6	1 0 1
60.86	48.4	3 1 2
39.16	32.7	2 1 1
46.25	29.4	2 2 0
70.34	17.3	2 0 4
76.78	12.3	4 2 0
79.72	11.5	3 3 2
79.50	10.8	2 2 4

Atomic structure:
Lattice parameters (Å, degrees): 5.552 5.552 6.111 90.00 90.00 90.00
Space group I-42d (No. 122)
Unique sites:
U1 0.000 0.000 0.000 (multiplicity 4)
Fe1 0.000 0.000 0.500 (multiplicity 4)
C1 0.179 0.250 0.625 (multiplicity 8)

---

4.
SmTmMg2: simulated powder XRD pattern (Cu Ka), based on a structure optimized by DFT (PBE).
Lines closer than 0.1° are merged.

Main lines, by intensity (10 to 90 degrees two-theta):
Position (°2θ)	I (rel.)	(hkl)
33.36	100.0	2 2 0
23.42	63.1	2 0 0
59.62	37.6	4 2 2
53.98	26.9	4 2 0
41.16	19.5	2 2 2
47.89	18.1	4 0 0
79.85	16.1	6 2 0
75.01	12.9	6 0 0
70.06	11.6	4 4 0
84.61	7.7	6 2 2

Atomic structure:
Lattice parameters (Å, degrees): 7.597 7.597 7.597 90.00 90.00 90.00
Space group Fm-3m (No. 225)
Unique sites:
Sm1 0.000 0.000 0.000 (multiplicity 4)
Tm1 0.000 0.000 0.500 (multiplicity 4)
Mg1 0.250 0.250 0.250 (multiplicity 8)